Structure and computed PXRD pattern of Th8Sb3Te4As (a DFT-relaxed cell (GGA-PBE, Alexandria); a wavelength of 1.5418 Å).
Peak positions follow from Bragg's law for the DFT cell and can differ from measured ones.

Principal peaks in the range 2θ = 10–90°, by intensity:
| Position (°2θ) | I/Imax |
| --- | --- |
| 28.29 | 1000 |
| 40.38 | 384 |
| 40.50 | 377 |
| 50.04 | 205 |
| 73.48 | 188 |
| 24.44 | 173 |
| 66.17 | 173 |
| 66.34 | 167 |
| 58.52 | 126 |
| 50.24 | 66 |
| 47.79 | 65 |
| 73.74 | 60 |

Atomic structure:
```
16
Lattice="4.467 2.579 7.265 -4.467 2.579 7.265 0.000 -5.158 7.265" Properties=species:S:1:pos:R:3 pbc="T T T"
Th 0.000 0.000 5.429
Th -2.122 -1.225 12.601
Th 0.000 -2.450 9.193
Th -2.122 1.225 9.193
Th 2.122 -1.225 12.601
Th 0.000 2.450 12.601
Th 2.122 1.225 9.193
Th 0.000 0.000 16.365
Sb -4.467 0.000 10.897
Sb -2.233 1.290 3.632
Sb 2.233 1.290 3.632
Te 0.000 0.000 0.000
Te -2.233 -1.290 7.265
Te -2.233 1.290 14.529
Te 0.000 2.579 7.265
As 0.000 0.000 10.897
```